For Fe4Rh, a cell relaxed with GGA-PBE gives the calculated X-ray diffraction stick pattern in this record (Cu Kα (λ = 1.5418 Å)).
Intensities are scaled so that the largest is 100.

Principal peaks in the range 2θ = 15–90°, sorted by position:
| 2θ/deg | Rel. int. |
| --- | --- |
| 25.9 | 7.2 |
| 28.6 | 7.2 |
| 37.9 | 3.8 |
| 43.7 | 100.0 |
| 43.8 | 99.5 |
| 63.6 | 30.3 |
| 80.1 | 14.7 |
| 80.4 | 44.4 |

```
data_Fe4Rh
_cell_length_a 4.1339
_cell_length_b 4.1339
_cell_length_c 12.7111
_cell_angle_alpha 90.00
_cell_angle_beta 90.00
_cell_angle_gamma 120.00
_symmetry_space_group_name_H-M 'R -3 m'
_symmetry_Int_Tables_number 166
_symmetry_space_group_name_Hall '-R 3 2"'
loop_
_atom_site_label
_atom_site_type_symbol
_atom_site_fract_x
_atom_site_fract_y
_atom_site_fract_z
Fe1 Fe 0.0000 0.0000 0.0966
Fe2 Fe 0.0000 0.0000 0.2996
Rh1 Rh 0.0000 0.0000 0.5000
```

For Fe3Rh8, a cell relaxed with GGA-PBE gives the calculated X-ray diffraction stick pattern in this record (Cu Kα (λ = 1.5418 Å)).
Intensities are scaled so that the largest is 100.

Principal peaks in the range 2θ = 15–90°, sorted by position:
| 2θ/deg | Rel. int. |
| --- | --- |
| 41.1 | 100.0 |
| 41.3 | 32.8 |
| 47.4 | 44.0 |
| 48.9 | 19.6 |
| 70.3 | 12.8 |
| 70.6 | 12.5 |
| 83.7 | 16.0 |
| 89.2 | 10.3 |

```
data_Fe3Rh8
_cell_length_a 11.4847
_cell_length_b 2.7175
_cell_length_c 11.0545
_cell_angle_alpha 90.00
_cell_angle_beta 118.99
_cell_angle_gamma 90.00
_symmetry_space_group_name_H-M 'C 1 2/m 1'
_symmetry_Int_Tables_number 12
loop_
_symmetry_equiv_pos_as_xyz
'x,y,z'
'-x,-y,-z'
'-x,y,-z'
'x,-y,z'
'x+1/2,y+1/2,z'
'-x+1/2,-y+1/2,-z'
'-x+1/2,y+1/2,-z'
'x+1/2,-y+1/2,z'
loop_
_atom_site_label
_atom_site_type_symbol
_atom_site_fract_x
_atom_site_fract_y
_atom_site_fract_z
Fe1 Fe 0.0000 0.0000 0.0000
Fe2 Fe 0.0914 0.0000 0.6379
Rh1 Rh 0.0448 0.5000 0.8181
Rh2 Rh 0.1296 0.5000 0.4552
Rh3 Rh 0.1842 0.0000 0.2748
Rh4 Rh 0.2249 0.5000 0.0910
```

For Fe5Rh, a cell relaxed with GGA-PBE gives the calculated X-ray diffraction stick pattern in this record (Cu Kα (λ = 1.5418 Å)).
Intensities are scaled so that the largest is 100.

Principal peaks in the range 2θ = 15–90°, sorted by position:
| 2θ/deg | Rel. int. |
| --- | --- |
| 43.6 | 100.0 |
| 44.3 | 63.9 |
| 44.4 | 31.4 |
| 63.8 | 9.8 |
| 64.0 | 19.5 |
| 79.5 | 10.0 |
| 81.0 | 18.9 |
| 81.2 | 9.5 |

```
data_Fe5Rh
_cell_length_a 2.5661
_cell_length_b 4.8044
_cell_length_c 6.2913
_cell_angle_alpha 77.98
_cell_angle_beta 82.15
_cell_angle_gamma 79.66
_symmetry_space_group_name_H-M 'P -1'
_symmetry_Int_Tables_number 2
loop_
_symmetry_equiv_pos_as_xyz
'x,y,z'
'-x,-y,-z'
loop_
_atom_site_label
_atom_site_type_symbol
_atom_site_fract_x
_atom_site_fract_y
_atom_site_fract_z
Fe1 Fe 0.0000 0.0000 0.0000
Fe2 Fe 0.1602 0.1614 0.3371
Fe3 Fe 0.3299 0.3300 0.6608
Rh1 Rh 0.5000 0.5000 0.0000
```

For FeRh2, a cell relaxed with GGA-PBE gives the calculated X-ray diffraction stick pattern in this record (Cu Kα (λ = 1.5418 Å)).
Intensities are scaled so that the largest is 100.

Principal peaks in the range 2θ = 15–90°, sorted by position:
| 2θ/deg | Rel. int. |
| --- | --- |
| 41.2 | 100.0 |
| 47.5 | 32.7 |
| 48.8 | 15.1 |
| 70.5 | 19.2 |
| 84.0 | 11.9 |
| 84.2 | 11.8 |
| 86.0 | 11.3 |
| 89.5 | 10.4 |

```
data_FeRh2
_cell_length_a 3.8300
_cell_length_b 11.4698
_cell_length_c 3.7310
_cell_angle_alpha 90.00
_cell_angle_beta 90.00
_cell_angle_gamma 90.00
_symmetry_space_group_name_H-M 'C m m m'
_symmetry_Int_Tables_number 65
_symmetry_space_group_name_Hall '-C 2 2'
loop_
_atom_site_label
_atom_site_type_symbol
_atom_site_fract_x
_atom_site_fract_y
_atom_site_fract_z
Fe1 Fe 0.0000 0.1650 0.0000
Rh1 Rh 0.0000 0.0000 0.5000
Rh2 Rh 0.0000 0.3321 0.5000
Rh3 Rh 0.0000 0.5000 0.0000
```

For Fe4Rh, a cell relaxed with GGA-PBE gives the calculated X-ray diffraction stick pattern in this record (Cu Kα (λ = 1.5418 Å)).
Intensities are scaled so that the largest is 100.

Principal peaks in the range 2θ = 15–90°, sorted by position:
| 2θ/deg | Rel. int. |
| --- | --- |
| 19.2 | 5.7 |
| 33.7 | 5.1 |
| 43.7 | 51.9 |
| 43.9 | 100.0 |
| 63.5 | 15.2 |
| 64.1 | 7.4 |
| 80.4 | 29.8 |
| 80.8 | 15.3 |

```
data_Fe4Rh
_cell_length_a 6.5485
_cell_length_b 6.5485
_cell_length_c 2.9072
_cell_angle_alpha 90.00
_cell_angle_beta 90.00
_cell_angle_gamma 90.00
_symmetry_space_group_name_H-M 'I 4/m'
_symmetry_Int_Tables_number 87
_symmetry_space_group_name_Hall '-I 4'
loop_
_atom_site_label
_atom_site_type_symbol
_atom_site_fract_x
_atom_site_fract_y
_atom_site_fract_z
Fe1 Fe 0.1036 0.3072 0.0000
Rh1 Rh 0.0000 0.0000 0.5000
```

For Fe2RuRh2, a cell relaxed with GGA-PBE gives the calculated X-ray diffraction stick pattern in this record (Cu Kα (λ = 1.5418 Å)).
Intensities are scaled so that the largest is 100.

Principal peaks in the range 2θ = 15–90°, sorted by position:
| 2θ/deg | Rel. int. |
| --- | --- |
| 32.7 | 18.2 |
| 35.7 | 13.6 |
| 40.1 | 81.8 |
| 41.6 | 19.5 |
| 43.6 | 100.0 |
| 52.6 | 24.5 |
| 80.7 | 18.3 |
| 82.4 | 21.7 |

```
data_Fe2RuRh2
_cell_length_a 7.1155
_cell_length_b 7.1155
_cell_length_c 2.7399
_cell_angle_alpha 90.00
_cell_angle_beta 90.00
_cell_angle_gamma 90.00
_symmetry_space_group_name_H-M 'P 4/m b m'
_symmetry_Int_Tables_number 127
_symmetry_space_group_name_Hall '-P 4 2ab'
loop_
_atom_site_label
_atom_site_type_symbol
_atom_site_fract_x
_atom_site_fract_y
_atom_site_fract_z
Fe1 Fe 0.1669 0.3331 0.0000
Ru1 Ru 0.0000 0.0000 0.5000
Rh1 Rh 0.1326 0.6326 0.5000
```

For Fe2RuRh3, a cell relaxed with GGA-PBE gives the calculated X-ray diffraction stick pattern in this record (Cu Kα (λ = 1.5418 Å)).
Intensities are scaled so that the largest is 100.

Principal peaks in the range 2θ = 15–90°, sorted by position:
| 2θ/deg | Rel. int. |
| --- | --- |
| 39.2 | 35.5 |
| 41.1 | 100.0 |
| 41.5 | 47.1 |
| 41.7 | 81.2 |
| 44.1 | 73.2 |
| 44.5 | 41.6 |
| 48.0 | 63.3 |
| 85.3 | 38.3 |

```
data_Fe2RuRh3
_cell_length_a 2.7059
_cell_length_b 13.0086
_cell_length_c 4.6122
_cell_angle_alpha 90.00
_cell_angle_beta 90.00
_cell_angle_gamma 90.00
_symmetry_space_group_name_H-M 'P m m n'
_symmetry_Int_Tables_number 59
loop_
_symmetry_equiv_pos_as_xyz
'x,y,z'
'-x,-y,-z'
'-x+1/2,-y+1/2,z'
'x+1/2,y+1/2,-z'
'x+1/2,-y,-z'
'-x+1/2,y,z'
'-x,y+1/2,-z'
'x,-y+1/2,z'
loop_
_atom_site_label
_atom_site_type_symbol
_atom_site_fract_x
_atom_site_fract_y
_atom_site_fract_z
Fe1 Fe 0.2500 0.0852 0.0849
Ru1 Ru 0.2500 0.7500 0.7486
Rh1 Rh 0.2500 0.2500 0.7578
Rh2 Rh 0.2500 0.5823 0.4154
```

For Fe2RuRh5, a cell relaxed with GGA-PBE gives the calculated X-ray diffraction stick pattern in this record (Cu Kα (λ = 1.5418 Å)).
Intensities are scaled so that the largest is 100.

Principal peaks in the range 2θ = 15–90°, sorted by position:
| 2θ/deg | Rel. int. |
| --- | --- |
| 41.1 | 100.0 |
| 47.7 | 16.1 |
| 47.9 | 31.7 |
| 70.0 | 19.7 |
| 70.1 | 9.7 |
| 84.3 | 11.8 |
| 84.7 | 23.3 |
| 89.3 | 10.4 |

```
data_Fe2RuRh5
_cell_length_a 5.3654
_cell_length_b 10.7385
_cell_length_c 3.8122
_cell_angle_alpha 90.00
_cell_angle_beta 90.00
_cell_angle_gamma 90.00
_symmetry_space_group_name_H-M 'P b a m'
_symmetry_Int_Tables_number 55
loop_
_symmetry_equiv_pos_as_xyz
'x,y,z'
'-x,-y,-z'
'-x,-y,z'
'x,y,-z'
'x+1/2,-y+1/2,-z'
'-x+1/2,y+1/2,z'
'-x+1/2,y+1/2,-z'
'x+1/2,-y+1/2,z'
loop_
_atom_site_label
_atom_site_type_symbol
_atom_site_fract_x
_atom_site_fract_y
_atom_site_fract_z
Fe1 Fe 0.2494 0.1243 0.0000
Ru1 Ru 0.0000 0.0000 0.5000
Rh1 Rh 0.0000 0.5000 0.5000
Rh2 Rh 0.0036 0.2484 0.5000
Rh3 Rh 0.2457 0.8770 0.0000
```

For Fe2RuRh4, a cell relaxed with GGA-PBE gives the calculated X-ray diffraction stick pattern in this record (Cu Kα (λ = 1.5418 Å)).
Intensities are scaled so that the largest is 100.

Principal peaks in the range 2θ = 15–90°, sorted by position:
| 2θ/deg | Rel. int. |
| --- | --- |
| 37.5 | 39.9 |
| 42.0 | 100.0 |
| 43.5 | 57.8 |
| 57.5 | 11.2 |
| 62.1 | 19.3 |
| 75.0 | 11.5 |
| 76.7 | 16.0 |
| 77.8 | 19.5 |

```
data_Fe2RuRh4
_cell_length_a 4.3038
_cell_length_b 4.3038
_cell_length_c 12.5322
_cell_angle_alpha 90.00
_cell_angle_beta 90.00
_cell_angle_gamma 120.00
_symmetry_space_group_name_H-M 'P 63/m m c'
_symmetry_Int_Tables_number 194
_symmetry_space_group_name_Hall '-P 6c 2c'
loop_
_atom_site_label
_atom_site_type_symbol
_atom_site_fract_x
_atom_site_fract_y
_atom_site_fract_z
Fe1 Fe 0.3333 0.6667 0.0554
Ru1 Ru 0.0000 0.0000 0.2500
Rh1 Rh 0.0000 0.0000 0.0000
Rh2 Rh 0.3333 0.6667 0.2500
Rh3 Rh 0.3333 0.6667 0.6393
```

For Fe2RuRh6, a cell relaxed with GGA-PBE gives the calculated X-ray diffraction stick pattern in this record (Cu Kα (λ = 1.5418 Å)).
Intensities are scaled so that the largest is 100.

Principal peaks in the range 2θ = 15–90°, sorted by position:
| 2θ/deg | Rel. int. |
| --- | --- |
| 37.5 | 58.3 |
| 41.1 | 94.2 |
| 42.9 | 77.0 |
| 44.2 | 93.0 |
| 44.4 | 63.3 |
| 45.6 | 100.0 |
| 71.5 | 31.8 |
| 85.4 | 20.0 |

```
data_Fe2RuRh6
_cell_length_a 2.6983
_cell_length_b 6.3104
_cell_length_c 7.7258
_cell_angle_alpha 103.96
_cell_angle_beta 100.00
_cell_angle_gamma 90.10
_symmetry_space_group_name_H-M 'P -1'
_symmetry_Int_Tables_number 2
loop_
_symmetry_equiv_pos_as_xyz
'x,y,z'
'-x,-y,-z'
loop_
_atom_site_label
_atom_site_type_symbol
_atom_site_fract_x
_atom_site_fract_y
_atom_site_fract_z
Fe1 Fe 0.2122 0.1482 0.4248
Ru1 Ru 0.0000 0.5000 0.0000
Rh1 Rh 0.1781 0.5318 0.3566
Rh2 Rh 0.3852 0.1806 0.7739
Rh3 Rh 0.4364 0.8076 0.8709
```

For FeSb8Rh2, a cell relaxed with GGA-PBE gives the calculated X-ray diffraction stick pattern in this record (Cu Kα (λ = 1.5418 Å)).
Intensities are scaled so that the largest is 100.

Principal peaks in the range 2θ = 15–90°, sorted by position:
| 2θ/deg | Rel. int. |
| --- | --- |
| 20.5 | 50.9 |
| 29.3 | 59.4 |
| 30.3 | 53.3 |
| 31.1 | 51.2 |
| 33.4 | 100.0 |
| 41.0 | 38.9 |
| 41.8 | 57.8 |
| 46.0 | 37.4 |

```
data_FeSb8Rh2
_cell_length_a 5.3788
_cell_length_b 7.3910
_cell_length_c 7.5863
_cell_angle_alpha 70.52
_cell_angle_beta 88.14
_cell_angle_gamma 87.59
_symmetry_space_group_name_H-M 'P -1'
_symmetry_Int_Tables_number 2
loop_
_symmetry_equiv_pos_as_xyz
'x,y,z'
'-x,-y,-z'
loop_
_atom_site_label
_atom_site_type_symbol
_atom_site_fract_x
_atom_site_fract_y
_atom_site_fract_z
Fe1 Fe 0.0000 0.0000 0.0000
Sb1 Sb 0.2393 0.5726 0.6125
Sb2 Sb 0.2776 0.1428 0.7145
Sb3 Sb 0.2791 0.1498 0.1646
Sb4 Sb 0.2875 0.7112 0.1090
Rh1 Rh 0.2514 0.3717 0.3610
```

For ScFe2Rh, a cell relaxed with GGA-PBE gives the calculated X-ray diffraction stick pattern in this record (Cu Kα (λ = 1.5418 Å)).
Intensities are scaled so that the largest is 100.

Principal peaks in the range 2θ = 15–90°, sorted by position:
| 2θ/deg | Rel. int. |
| --- | --- |
| 29.2 | 6.9 |
| 32.7 | 6.0 |
| 41.7 | 100.0 |
| 60.4 | 10.8 |
| 60.6 | 4.2 |
| 62.5 | 3.3 |
| 76.1 | 19.8 |
| 76.2 | 8.3 |

```
data_ScFe2Rh
_cell_length_a 3.0651
_cell_length_b 3.0651
_cell_length_c 6.1154
_cell_angle_alpha 90.00
_cell_angle_beta 90.00
_cell_angle_gamma 90.00
_symmetry_space_group_name_H-M 'P 4 m m'
_symmetry_Int_Tables_number 99
loop_
_symmetry_equiv_pos_as_xyz
'x,y,z'
'-y,x,z'
'-x,-y,z'
'y,-x,z'
'-x,y,z'
'y,x,z'
'x,-y,z'
'-y,-x,z'
loop_
_atom_site_label
_atom_site_type_symbol
_atom_site_fract_x
_atom_site_fract_y
_atom_site_fract_z
Sc1 Sc 0.0000 0.0000 0.0000
Fe1 Fe 0.0000 0.0000 0.4761
Fe2 Fe 0.5000 0.5000 0.2752
Rh1 Rh 0.5000 0.5000 0.7292
```

For Sc8FeRh2, a cell relaxed with GGA-PBE gives the calculated X-ray diffraction stick pattern in this record (Cu Kα (λ = 1.5418 Å)).
Intensities are scaled so that the largest is 100.

Principal peaks in the range 2θ = 15–90°, sorted by position:
| 2θ/deg | Rel. int. |
| --- | --- |
| 18.5 | 37.3 |
| 23.3 | 53.5 |
| 29.6 | 37.0 |
| 34.2 | 72.0 |
| 35.9 | 37.7 |
| 36.7 | 55.9 |
| 38.8 | 47.2 |
| 40.1 | 100.0 |

```
data_Sc8FeRh2
_cell_length_a 7.5066
_cell_length_b 12.5955
_cell_length_c 5.2543
_cell_angle_alpha 90.00
_cell_angle_beta 113.88
_cell_angle_gamma 90.00
_symmetry_space_group_name_H-M 'C 1 m 1'
_symmetry_Int_Tables_number 8
loop_
_symmetry_equiv_pos_as_xyz
'x,y,z'
'x,-y,z'
'x+1/2,y+1/2,z'
'x+1/2,-y+1/2,z'
loop_
_atom_site_label
_atom_site_type_symbol
_atom_site_fract_x
_atom_site_fract_y
_atom_site_fract_z
Sc1 Sc 0.0000 0.0000 0.0000
Sc2 Sc 0.0720 0.3764 0.8158
Sc3 Sc 0.1316 0.1234 0.5747
Sc4 Sc 0.2027 0.5000 0.3895
Sc5 Sc 0.3519 0.1966 0.1951
Fe1 Fe 0.3512 0.0000 0.1933
Rh1 Rh 0.3511 0.3039 0.6935
```

For Sc8Fe2Rh, a cell relaxed with GGA-PBE gives the calculated X-ray diffraction stick pattern in this record (Cu Kα (λ = 1.5418 Å)).
Intensities are scaled so that the largest is 100.

Principal peaks in the range 2θ = 15–90°, sorted by position:
| 2θ/deg | Rel. int. |
| --- | --- |
| 19.9 | 21.8 |
| 23.8 | 40.8 |
| 34.1 | 25.3 |
| 35.6 | 32.4 |
| 36.2 | 100.0 |
| 39.6 | 31.8 |
| 43.4 | 29.2 |
| 43.7 | 34.1 |

```
data_Sc8Fe2Rh
_cell_length_a 7.8099
_cell_length_b 11.4802
_cell_length_c 5.1752
_cell_angle_alpha 90.00
_cell_angle_beta 107.13
_cell_angle_gamma 90.00
_symmetry_space_group_name_H-M 'C 1 m 1'
_symmetry_Int_Tables_number 8
loop_
_symmetry_equiv_pos_as_xyz
'x,y,z'
'x,-y,z'
'x+1/2,y+1/2,z'
'x+1/2,-y+1/2,z'
loop_
_atom_site_label
_atom_site_type_symbol
_atom_site_fract_x
_atom_site_fract_y
_atom_site_fract_z
Sc1 Sc 0.0000 0.0000 0.0000
Sc2 Sc 0.0649 0.3682 0.7823
Sc3 Sc 0.1665 0.1319 0.5953
Sc4 Sc 0.2319 0.5000 0.3778
Sc5 Sc 0.3656 0.2233 0.1888
Fe1 Fe 0.3660 0.3139 0.6893
Rh1 Rh 0.3660 0.0000 0.1878
```